(1)
TaNbW: theoretical powder XRD pattern (CuKα), based on a structure optimized by DFT (GGA-PBE).
Neutral-atom scattering factors, no anomalous dispersion.

Top 6 peaks for 2θ from 10° to 90°, most intense first:
hkl 1 1 3, 2θ = 38.95°, intensity 100.0; hkl 2 0 6, 2θ = 70.69°, intensity 25.6; hkl 0 2 0, 2θ = 38.71°, intensity 25.5; hkl 0 0 6, 2θ = 39.06°, intensity 24.6; hkl 1 3 3, 2θ = 70.22°, intensity 17.7; hkl 0 2 6, 2θ = 56.16°, intensity 17.2

Cell lengths 3.2648, 4.6526, 13.8371 Å; angles 90.00, 90.00, 90.00 degrees
Space group Fmm2 (No. 42)
Unique sites:
Ta  0.0000  0.0000  0.0000 x4
Nb  0.0000  0.0000  0.6741 x4
W  0.0000  0.0000  0.3382 x4


(2)
MgZn5: theoretical powder XRD pattern (CuKα), based on a structure optimized by DFT (GGA-PBE).
Neutral-atom scattering factors, no anomalous dispersion.

Top 6 peaks for 2θ from 10° to 90°, most intense first:
hkl 0 2 2, 2θ = 42.14°, intensity 100.0; hkl 4 2 0, 2θ = 41.28°, intensity 92.7; hkl 4 2 -2, 2θ = 42.99°, intensity 88.9; hkl 1 1 3, 2θ = 39.71°, intensity 83.6; hkl 7 1 -3, 2θ = 42.34°, intensity 75.4; hkl 8 0 0, 2θ = 41.08°, intensity 63.9

Cell lengths 19.0739, 5.0423, 8.8524 Å; angles 90.00, 112.85, 90.00 degrees
Space group C2/m (No. 12)
Unique sites:
Mg  0.0335  0.0000  0.2021 x4
Mg  0.2191  0.0000  0.3736 x4
Zn  0.0000  0.0000  0.5000 x2
Zn  0.0000  0.5000  0.0000 x2
Zn  0.0353  0.5000  0.7046 x4
Zn  0.1120  0.0000  0.7790 x4
Zn  0.1231  0.5000  0.2881 x4
Zn  0.1280  0.2529  0.5403 x8
Zn  0.1304  0.2466  0.0382 x8
Zn  0.2108  0.5000  0.8745 x4
Zn  0.2468  0.0000  0.7645 x4


(3)
CdGePH3O7: theoretical powder XRD pattern (CuKα), based on a structure optimized by DFT (GGA-PBE).
Neutral-atom scattering factors, no anomalous dispersion.

Top 6 peaks for 2θ from 10° to 90°, most intense first:
hkl 1 1 2, 2θ = 22.54°, intensity 100.0; hkl 2 0 -1, 2θ = 25.93°, intensity 90.3; hkl 1 2 1, 2θ = 22.42°, intensity 65.5; hkl 0 1 -3, 2θ = 31.46°, intensity 60.6; hkl 1 1 -2, 2θ = 23.81°, intensity 58.9; hkl 1 1 1, 2θ = 15.61°, intensity 55.8

Cell lengths 8.0285, 8.7377, 9.2598 Å; angles 87.05, 87.35, 68.97 degrees
Space group P1 (No. 1)
Unique sites:
Cd  0.0000  0.0000  0.0000 x1
Cd  0.0071  0.4823  0.2106 x1
Cd  0.6146  0.0822  0.3419 x1
Cd  0.7271  0.0612  0.7050 x1
Ge  0.2698  0.8256  0.5885 x1
Ge  0.4220  0.6575  0.1416 x1
Ge  0.6403  0.2892  0.0207 x1
Ge  0.7872  0.3637  0.5396 x1
P  0.0021  0.6574  0.8506 x1
P  0.1853  0.1659  0.4066 x1
P  0.3842  0.4148  0.7503 x1
P  0.5816  0.6923  0.3255 x1
H  0.0066  0.7672  0.5451 x1
H  0.0376  0.7614  0.3220 x1
H  0.1736  0.1450  0.7070 x1
H  0.1903  0.3034  0.9939 x1
H  0.2896  0.9409  0.1663 x1
H  0.2966  0.1100  0.8348 x1
H  0.3141  0.3103  0.5363 x1
H  0.6334  0.8382  0.5696 x1
H  0.6936  0.5915  0.9852 x1
H  0.8547  0.7888  0.2386 x1
H  0.9001  0.5136  0.7162 x1
H  0.9987  0.2919  0.9906 x1
O  0.0989  0.2827  0.0578 x1
O  0.1179  0.7625  0.4919 x1
O  0.1830  0.0523  0.5433 x1
O  0.1842  0.1876  0.8005 x1
O  0.2078  0.5582  0.8621 x1
O  0.2259  0.3196  0.4608 x1
O  0.2596  0.8622  0.1067 x1
O  0.3158  0.5057  0.1593 x1
O  0.3256  0.0749  0.2948 x1
O  0.3317  0.8251  0.7567 x1
O  0.4604  0.7434  0.4610 x1
O  0.4744  0.2871  0.8900 x1
O  0.4804  0.9343  0.9226 x1
O  0.4826  0.3606  0.1855 x1
O  0.5113  0.5009  0.6999 x1
O  0.5882  0.5551  0.0042 x1
O  0.6345  0.9409  0.9138 x1
O  0.6497  0.8190  0.2531 x1
O  0.6705  0.2297  0.5121 x1
O  0.7037  0.9060  0.5393 x1
O  0.7356  0.5279  0.3563 x1
O  0.7417  0.1076  0.1326 x1
O  0.8362  0.2554  0.9076 x1
O  0.8977  0.6178  0.9801 x1
O  0.9352  0.6105  0.7057 x1
O  0.9712  0.8426  0.8239 x1
O  0.9894  0.7425  0.2305 x1
O  0.9942  0.2469  0.3538 x1


(4)
MgH2O2: theoretical powder XRD pattern (CuKα), based on a structure optimized by DFT (GGA-PBE).
Neutral-atom scattering factors, no anomalous dispersion.

Top 6 peaks for 2θ from 10° to 90°, most intense first:
hkl 1 0 1, 2θ = 36.29°, intensity 100.0; hkl 0 0 1, 2θ = 19.36°, intensity 97.6; hkl 1 0 2, 2θ = 50.48°, intensity 46.9; hkl 1 1 0, 2θ = 54.01°, intensity 39.5; hkl 1 1 1, 2θ = 57.92°, intensity 23.4; hkl 0 1 3, 2θ = 69.28°, intensity 15.4

Cell lengths 3.3954, 3.3954, 4.5854 Å; angles 90.00, 90.00, 120.00 degrees
Space group P3m1 (No. 156)
Unique sites:
Mg  0.0000  0.0000  0.0000 x1
H  0.3333  0.6667  0.0477 x1
H  0.6667  0.3333  0.4452 x1
O  0.3333  0.6667  0.8308 x1
O  0.6667  0.3333  0.2319 x1


(5)
Na3AlCl6: theoretical powder XRD pattern (CuKα), based on a structure optimized by DFT (GGA-PBE).
Neutral-atom scattering factors, no anomalous dispersion.

Top 6 peaks for 2θ from 10° to 90°, most intense first:
hkl 4 0 0, 2θ = 35.82°, intensity 100.0; hkl 2 2 2, 2θ = 30.89°, intensity 94.0; hkl 4 4 0, 2θ = 51.56°, intensity 59.3; hkl 2 0 0, 2θ = 17.69°, intensity 44.0; hkl 6 2 2, 2θ = 61.33°, intensity 25.8; hkl 8 4 0, 2θ = 86.90°, intensity 21.0

Cell lengths 10.0268, 10.0268, 10.0268 Å; angles 90.00, 90.00, 90.00 degrees
Space group Fm-3m (No. 225)
Unique sites:
Na  0.0000  0.0000  0.0000 x4
Na  0.2500  0.2500  0.2500 x8
Al  0.0000  0.0000  0.5000 x4
Cl  0.0000  0.0000  0.2678 x24


(6)
CaNd8Se12: theoretical powder XRD pattern (CuKα), based on a structure optimized by DFT (GGA-PBE).
Neutral-atom scattering factors, no anomalous dispersion.

Top 6 peaks for 2θ from 10° to 90°, most intense first:
hkl 3 3 -3, 2θ = 31.61°, intensity 100.0; hkl 4 2 1, 2θ = 37.60°, intensity 65.7; hkl 5 7 -4, 2θ = 64.12°, intensity 23.7; hkl 2 0 -4, 2θ = 24.36°, intensity 22.5; hkl 2 2 5, 2θ = 45.31°, intensity 22.4; hkl 1 7 -2, 2θ = 52.10°, intensity 18.0

Cell lengths 12.6621, 12.6702, 14.8260 Å; angles 90.00, 115.25, 90.00 degrees
Space group Cc (No. 9)
Unique sites:
Ca  0.0000  0.1874  0.0000 x4
Nd  0.0206  0.1240  0.4162 x4
Nd  0.1264  0.4389  0.4999 x4
Nd  0.1680  0.3130  0.8343 x4
Nd  0.1873  0.3746  0.2499 x4
Nd  0.2917  0.0644  0.3330 x4
Nd  0.3340  0.1885  0.6660 x4
Nd  0.3532  0.1266  0.0833 x4
Nd  0.4567  0.4361  0.1665 x4
Se  0.0052  0.4999  0.2840 x4
Se  0.0460  0.1751  0.2155 x4
Se  0.0701  0.2504  0.6169 x4
Se  0.1305  0.0728  0.8818 x4
Se  0.1739  0.0020  0.6184 x4
Se  0.2104  0.3247  0.0491 x4
Se  0.2349  0.2489  0.4506 x4
Se  0.2957  0.4250  0.7169 x4
Se  0.3381  0.4982  0.4503 x4
Se  0.3794  0.1760  0.8828 x4
Se  0.4049  0.2509  0.2837 x4
Se  0.4615  0.0715  0.5498 x4


(7)
Ba3NaB24: theoretical powder XRD pattern (CuKα), based on a structure optimized by DFT (GGA-PBE).
Neutral-atom scattering factors, no anomalous dispersion.

Top 6 peaks for 2θ from 10° to 90°, most intense first:
hkl 1 1 0, 2θ = 29.72°, intensity 100.0; hkl 1 0 0, 2θ = 20.89°, intensity 47.7; hkl 1 1 4, 2θ = 36.61°, intensity 42.3; hkl 2 1 0, 2θ = 47.80°, intensity 31.7; hkl 2 1 4, 2θ = 52.74°, intensity 22.5; hkl 2 1 8, 2θ = 65.94°, intensity 17.7

Cell lengths 4.2560, 4.2560, 16.9684 Å; angles 90.00, 90.00, 90.00 degrees
Space group P4/mmm (No. 123)
Unique sites:
Ba  0.0000  0.0000  0.0000 x1
Ba  0.0000  0.0000  0.2544 x2
Na  0.0000  0.0000  0.5000 x1
B  0.2022  0.5000  0.3771 x8
B  0.2045  0.5000  0.1253 x8
B  0.5000  0.5000  0.0512 x2
B  0.5000  0.5000  0.1998 x2
B  0.5000  0.5000  0.3023 x2
B  0.5000  0.5000  0.4509 x2